Structure and theoretical X-ray diffraction stick pattern of SrPrFeRuO6 (a GGA+U-relaxed structure; Cu Ka).
Lines closer than 0.1° are merged.

Most intense lines, 2θ = 15–90°, low angle first:
| 2θ (°) | Rel. int. |
| --- | --- |
| 31.7 | 187 |
| 31.9 | 1000 |
| 45.7 | 222 |
| 45.8 | 121 |
| 56.6 | 123 |
| 56.9 | 263 |

Atomic structure:
Unit cell a=5.5975 b=5.6436 c=9.7014 alpha=90.00 beta=125.21 gamma=90.00
Fractional coordinates of all 20 atoms:
Sr: 0.0000 0.2221 0.0000
Sr: 0.0000 0.7779 0.5000
Pr: 0.4844 0.2928 0.5006
Pr: 0.4844 0.7072 0.0006
Fe: 0.7456 0.2461 0.2503
Fe: 0.7456 0.7539 0.7503
Ru: 0.2457 0.2479 0.7496
Ru: 0.2457 0.7521 0.2496
O: 0.0088 0.4748 0.7869
O: 0.0088 0.5252 0.2869
O: 0.0791 0.0377 0.2920
O: 0.0791 0.9623 0.7920
O: 0.4329 0.4758 0.2129
O: 0.4329 0.5242 0.7129
O: 0.4935 0.0392 0.7087
O: 0.4935 0.9608 0.2087
O: 0.5584 0.2698 0.9995
O: 0.5584 0.7302 0.4995
O: 0.9130 0.2401 0.5006
O: 0.9130 0.7599 0.0006

Structure and theoretical X-ray diffraction stick pattern of SrCaHfVO6 (a GGA+U-relaxed structure; Cu Ka).
Lines closer than 0.1° are merged.

Most intense lines, 2θ = 15–90°, low angle first:
| 2θ (°) | Rel. int. |
| --- | --- |
| 19.2 | 343 |
| 31.7 | 1000 |
| 37.3 | 225 |
| 45.4 | 349 |
| 56.4 | 388 |
| 66.2 | 206 |

Atomic structure:
Unit cell a=5.6492 b=5.6492 c=5.6492 alpha=60.00 beta=60.00 gamma=60.00
Fractional coordinates of all 10 atoms:
Sr: 0.0000 0.0000 0.0000
Ca: 0.5000 0.5000 0.5000
Hf: 0.2500 0.2500 0.2500
V: 0.7500 0.7500 0.7500
O: 0.5071 0.5071 0.9929
O: 0.5071 0.9929 0.5071
O: 0.5071 0.9929 0.9929
O: 0.9929 0.5071 0.5071
O: 0.9929 0.5071 0.9929
O: 0.9929 0.9929 0.5071

Structure and theoretical X-ray diffraction stick pattern of NaMn2Mo2H3O10 (a GGA+U-relaxed structure; Cu Ka).
Lines closer than 0.1° are merged.

Most intense lines, 2θ = 15–90°, low angle first:
| 2θ (°) | Rel. int. |
| --- | --- |
| 16.8 | 1000 |
| 24.6 | 760 |
| 26.4 | 767 |
| 28.8 | 658 |
| 31.0 | 434 |
| 32.8 | 817 |

Atomic structure:
Unit cell a=5.8559 b=5.8559 c=7.8179 alpha=111.41 beta=111.41 gamma=69.56
Fractional coordinates of all 18 atoms:
Na: 0.0000 0.0000 0.0000
Mn: 0.4944 0.0029 0.5006
Mn: 0.9971 0.5056 0.4994
Mo: 0.4125 0.4152 0.2054
Mo: 0.5848 0.5875 0.7946
H: 0.1698 0.1829 0.7196
H: 0.8171 0.8302 0.2804
H: 0.9922 0.0078 0.5000
O: 0.1357 0.1487 0.5798
O: 0.2474 0.6875 0.7632
O: 0.2580 0.2570 0.9741
O: 0.3125 0.7526 0.2368
O: 0.3245 0.3289 0.3738
O: 0.6711 0.6755 0.6262
O: 0.6826 0.2500 0.7627
O: 0.7430 0.7420 0.0259
O: 0.7500 0.3174 0.2373
O: 0.8513 0.8643 0.4202